Calculated powder XRD pattern of Cu4Bi7S12 for CuKα, from a cell relaxed with GGA-PBE.
Neutral-atom scattering factors, no anomalous dispersion.

Main lines, by intensity (5 to 70 degrees two-theta):
2θ (°), I_rel
28.7, 100.0
23.6, 67.5
28.4, 56.1
32.7, 52.0
27.0, 45.4
27.9, 40.7
46.0, 39.4
44.6, 28.2
13.7, 27.8
31.6, 27.3

Structure:
```
Cu4Bi7S12
1.0
9.235 -1.973 0.000
9.235 1.973 0.000
-3.292 0.000 14.863
Cu Bi S
4 7 12
Direct
0.092 0.092 0.490
0.153 0.153 0.139
0.847 0.847 0.861
0.908 0.908 0.510
0.171 0.171 0.911
0.262 0.262 0.629
0.492 0.492 0.280
0.500 0.500 0.000
0.508 0.508 0.720
0.738 0.738 0.371
0.829 0.829 0.089
0.017 0.017 0.876
0.025 0.025 0.607
0.149 0.149 0.284
0.339 0.339 0.502
0.340 0.340 0.939
0.343 0.343 0.217
0.657 0.657 0.783
0.660 0.660 0.061
0.661 0.661 0.498
0.851 0.851 0.716
0.975 0.975 0.393
0.983 0.983 0.124
```

Calculated powder XRD pattern of Gd2Zr2O7 for CuKα, from a cell relaxed with GGA-PBE.
Neutral-atom scattering factors, no anomalous dispersion.

Main lines, by intensity (5 to 70 degrees two-theta):
2θ (°), I_rel
28.7, 100.0
29.7, 97.4
48.4, 67.7
34.0, 38.8
57.0, 30.2
58.8, 26.1
33.5, 20.9
47.5, 18.4
56.9, 15.5
50.2, 15.5

Structure:
```
Gd2Zr2O7
1.0
-3.638 3.829 5.355
3.638 -3.829 5.355
3.638 3.829 -5.355
Gd Zr O
4 4 14
Direct
0.000 0.000 0.500
0.000 0.500 0.000
0.500 0.000 0.000
0.500 0.500 0.500
0.000 0.000 0.000
0.000 0.500 0.500
0.500 0.000 0.500
0.500 0.500 0.000
0.105 0.352 0.216
0.105 0.889 0.753
0.129 0.379 0.750
0.331 0.081 0.250
0.363 0.111 0.716
0.363 0.648 0.253
0.367 0.617 0.750
0.633 0.383 0.250
0.637 0.352 0.747
0.637 0.889 0.284
0.669 0.919 0.750
0.871 0.621 0.250
0.895 0.111 0.247
0.895 0.648 0.784
```